Structure and calculated X-ray diffraction stick pattern of K2NaSbF6 (DFT lattice parameters and positions (GGA-PBE); Cu Kα X-rays).
Intensities are scaled so that the largest is 100.

Most intense lines, 2θ from 10° to 90°, low angle first:
5.168 Å, I = 62
4.475 Å, I = 36
3.165 Å, I = 100
2.238 Å, I = 62
1.827 Å, I = 39
1.582 Å, I = 36

Structural model:
a b c (Å): 6.3292 6.3292 6.3292
angles (deg): 60.00 60.00 60.00
Positions (direct):
1 K 0.2500 0.2500 0.2500
2 K 0.7500 0.7500 0.7500
3 Na 0.0000 0.0000 0.0000
4 Sb 0.5000 0.5000 0.5000
5 F 0.2545 0.2545 0.7455
6 F 0.2545 0.7455 0.2545
7 F 0.2545 0.7455 0.7455
8 F 0.7455 0.2545 0.2545
9 F 0.7455 0.2545 0.7455
10 F 0.7455 0.7455 0.2545

Structure and calculated X-ray diffraction stick pattern of LuAl3 (DFT lattice parameters and positions (GGA-PBE); Cu Kα X-rays).
Intensities are scaled so that the largest is 100.

Most intense lines, 2θ from 10° to 90°, low angle first:
5.308 Å, I = 30
3.497 Å, I = 100
3.065 Å, I = 46
2.654 Å, I = 22
2.305 Å, I = 90
1.842 Å, I = 27

Structural model:
a b c (Å): 6.1294 6.1294 4.6475
angles (deg): 90.00 90.00 120.00
Positions (direct):
1 Lu 0.3333 0.6667 0.2500
2 Lu 0.6667 0.3333 0.7500
3 Al 0.1507 0.3015 0.7500
4 Al 0.1507 0.8493 0.7500
5 Al 0.3015 0.1507 0.2500
6 Al 0.6985 0.8493 0.7500
7 Al 0.8493 0.1507 0.2500
8 Al 0.8493 0.6985 0.2500

Structure and calculated X-ray diffraction stick pattern of CsSnBr3 (DFT lattice parameters and positions (GGA-PBE); Cu Kα X-rays).
Intensities are scaled so that the largest is 100.

Most intense lines, 2θ from 10° to 90°, low angle first:
4.162 Å, I = 54
3.398 Å, I = 52
2.943 Å, I = 100
2.403 Å, I = 26
2.081 Å, I = 74
1.316 Å, I = 34

Structural model:
a b c (Å): 5.8860 5.8860 5.8860
angles (deg): 90.00 90.00 90.00
Positions (direct):
1 Cs 0.0000 0.0000 0.0000
2 Sn 0.5000 0.5000 0.5000
3 Br 0.0000 0.5000 0.5000
4 Br 0.5000 0.0000 0.5000
5 Br 0.5000 0.5000 0.0000

Structure and calculated X-ray diffraction stick pattern of KCaGdSeO6 (DFT lattice parameters and positions (GGA-PBE); Cu Kα X-rays).
Intensities are scaled so that the largest is 100.

Most intense lines, 2θ from 10° to 90°, low angle first:
4.060 Å, I = 51
2.871 Å, I = 100
2.030 Å, I = 36
1.816 Å, I = 21
1.657 Å, I = 37
1.435 Å, I = 21

Structural model:
a b c (Å): 5.7412 5.7412 5.7412
angles (deg): 60.00 60.00 60.00
Positions (direct):
1 K 0.0000 0.0000 0.0000
2 Ca 0.5000 0.5000 0.5000
3 Gd 0.2500 0.2500 0.2500
4 Se 0.7500 0.7500 0.7500
5 O 0.5253 0.5253 0.9747
6 O 0.5253 0.9747 0.5253
7 O 0.5253 0.9747 0.9747
8 O 0.9747 0.5253 0.5253
9 O 0.9747 0.5253 0.9747
10 O 0.9747 0.9747 0.5253